For TlCd, a crystal structure in Alexandria, relaxed with GGA-PBE gives the computed X-ray powder pattern in this record (a wavelength of 1.5418 Å).
Intensities are scaled so that the largest is 100.

Crystal structure
Unit cell a=5.1381 b=3.6473 c=5.9145 alpha=90.00 beta=90.00 gamma=90.00
Positions (direct):
Tl1 0.2500 0.0000 0.1962
Tl2 0.7500 0.0000 0.8038
Cd1 0.2500 0.5000 0.6796
Cd2 0.7500 0.5000 0.3204

Peak list (10 most intense, 15° ≤ 2θ ≤ 90°, by angle)
hkl 1 0 1, 2θ 22.9, I = 10.5
hkl 0 1 1, 2θ 28.8, I = 11.8
hkl 0 0 2, 2θ 30.2, I = 20.4
hkl 1 1 1, 2θ 33.7, I = 100.0
hkl 2 0 0, 2θ 35.0, I = 50.7
hkl 2 0 2, 2θ 46.8, I = 12.2
hkl 0 1 3, 2θ 52.8, I = 12.9
hkl 3 1 1, 2θ 61.9, I = 17.3
hkl 2 2 0, 2θ 62.5, I = 18.7
hkl 2 1 3, 2θ 64.9, I = 13.8